Starting from a structure optimized by DFT (GGA-PBE), the powder diffractogram of Ga41Mo8 was calculated for Cu Kα.

Principal peaks in the range 2θ from 5° to 70°, by angle:
Position (°2θ), I (rel.), hkl
21.62, 35, 2 -1 3
21.76, 31, 3 0 0
30.86, 49, 2 2 3
35.48, 30, 1 3 4
38.10, 62, 5 -4 3
39.36, 32, 2 4 1
39.90, 100, 3 2 4
41.46, 40, 5 1 1
42.06, 29, 0 3 6
42.33, 39, 3 3 3
44.05, 93, 4 -2 6
44.36, 72, 6 0 0

Cell and atoms:
a = 14.1481 Å, b = 14.1481 Å, c = 15.1555 Å
α = 90.00°, β = 90.00°, γ = 120.00°
Space group R-3 (No. 148, hexagonal axes)
One atom of each set of equivalent atoms:
Ga: 0.0000 0.0000 0.0000
Ga: 0.0000 0.0000 0.5000
Ga: 0.0000 0.5000 0.0000
Ga: 0.0018 0.8160 0.7847
Ga: 0.0111 0.1254 0.6642
Ga: 0.0108 0.3180 0.7673
Ga: 0.0162 0.8491 0.1100
Ga: 0.0194 0.4838 0.6600
Ga: 0.0955 0.5593 0.1704
Mo: 0.0000 0.0000 0.1983
Mo: 0.0150 0.3050 0.5975


Starting from a structure optimized by DFT (GGA-PBE), the powder diffractogram of CsZnBP2O8 was calculated for Cu Kα.

Principal peaks in the range 2θ from 5° to 70°, by angle:
Position (°2θ), I (rel.), hkl
23.00, 62, 0 2 -1
23.36, 82, 1 1 -2
24.04, 89, 0 1 1
24.18, 100, 2 -1 0
24.86, 66, 1 0 -2
25.17, 40, 1 -2 0
26.28, 44, -2 1 1
26.42, 29, 2 0 0
28.58, 86, 1 -1 2
29.49, 56, 1 2 -1
30.24, 41, 2 -2 1
30.73, 39, 2 1 -2

Cell and atoms:
a = 7.6046 Å, b = 8.0188 Å, c = 8.1360 Å
α = 117.78°, β = 102.89°, γ = 104.69°
Space group P-1 (No. 2)
One atom of each set of equivalent atoms:
Cs: 0.2355 0.3527 0.0949
Zn: 0.2971 0.7069 0.7572
B: 0.2023 0.9339 0.4314
P: 0.0576 0.2286 0.4376
P: 0.4602 0.9030 0.2289
O: 0.0477 0.7615 0.4137
O: 0.0815 0.7975 0.7504
O: 0.1006 0.0306 0.3508
O: 0.2500 0.4243 0.5539
O: 0.2923 0.8288 0.2945
O: 0.3453 0.0891 0.6419
O: 0.4046 0.7247 0.0120
O: 0.4866 0.1117 0.2592


Starting from a structure optimized by DFT (GGA-PBE), the powder diffractogram of Mg16NpAl12 was calculated for Cu Kα.

Principal peaks in the range 2θ from 5° to 70°, by angle:
Position (°2θ), I (rel.), hkl
11.92, 77, 1 1 0
16.89, 16, 2 0 0
20.72, 37, 2 1 1
26.85, 21, 3 1 0
31.89, 35, 3 2 1
36.30, 100, 3 3 0
40.29, 20, 3 3 2
42.16, 20, 4 2 2
47.43, 16, 5 2 1
53.82, 13, 5 3 2
62.56, 16, 5 5 0
65.31, 31, 7 2 1

Cell and atoms:
a = 10.4993 Å, b = 10.4993 Å, c = 10.4993 Å
α = 90.00°, β = 90.00°, γ = 90.00°
Space group I-43m (No. 217)
One atom of each set of equivalent atoms:
Mg: 0.0366 0.3583 0.3583
Mg: 0.1782 0.1782 0.8218
Np: 0.0000 0.0000 0.0000
Al: 0.0895 0.0895 0.2734


Starting from a structure optimized by DFT (GGA-PBE), the powder diffractogram of SnPPt5 was calculated for Cu Kα.

Principal peaks in the range 2θ from 5° to 70°, by angle:
Position (°2θ), I (rel.), hkl
22.25, 3, 1 0 0
24.87, 7, 0 0 2
31.67, 19, 1 1 0
34.11, 46, 1 1 1
37.69, 27, 0 0 3
40.68, 100, 1 1 2
45.39, 49, 2 0 0
50.02, 7, 1 1 3
51.03, 5, 0 0 4
52.45, 4, 2 0 2
60.42, 28, 2 0 3
66.14, 16, 2 2 0

Cell and atoms:
a = 3.9960 Å, b = 3.9960 Å, c = 7.1602 Å
α = 90.00°, β = 90.00°, γ = 90.00°
Space group P4/mmm (No. 123)
One atom of each set of equivalent atoms:
Sn: 0.0000 0.0000 0.0000
P: 0.5000 0.5000 0.5000
Pt: 0.0000 0.5000 0.2997
Pt: 0.5000 0.5000 0.0000


Starting from a structure optimized by DFT (GGA-PBE), the powder diffractogram of Sm2Se3 was calculated for Cu Kα.

Principal peaks in the range 2θ from 5° to 70°, by angle:
Position (°2θ), I (rel.), hkl
22.32, 63, 2 0 2
28.02, 61, 1 1 2
31.20, 60, 2 1 2
32.43, 75, 0 1 3
33.02, 53, 3 1 1
33.40, 82, 1 1 3
35.93, 100, 3 1 2
39.24, 49, 4 1 1
39.85, 45, 1 1 4
41.78, 44, 4 1 2
43.85, 66, 0 2 0
47.32, 43, 3 0 5

Cell and atoms:
a = 11.4033 Å, b = 4.1296 Å, c = 11.1326 Å
α = 90.00°, β = 90.00°, γ = 90.00°
Space group Pnma (No. 62)
One atom of each set of equivalent atoms:
Sm: 0.0117 0.2500 0.1871
Sm: 0.1936 0.2500 0.5022
Se: 0.0448 0.7500 0.3747
Se: 0.1199 0.2500 0.9443
Se: 0.2278 0.7500 0.6979


Starting from a structure optimized by DFT (GGA-PBE), the powder diffractogram of Sr2Ti6N2O11 was calculated for Cu Kα.

Principal peaks in the range 2θ from 5° to 70°, by angle:
Position (°2θ), I (rel.), hkl
19.37, 47, 0 0 2
29.27, 100, 3 1 0
29.90, 50, 2 0 -3
30.00, 91, 3 1 -1
30.19, 49, 1 1 -2
31.38, 51, 1 1 2
31.77, 51, 3 1 1
33.34, 55, 4 0 2
43.17, 60, 4 0 -4
44.24, 46, 6 0 2
46.84, 71, 0 2 0
60.60, 30, 0 0 6

Cell and atoms:
a = 14.9804 Å, b = 3.8793 Å, c = 9.2740 Å
α = 90.00°, β = 98.71°, γ = 90.00°
Space group Cm (No. 8)
One atom of each set of equivalent atoms:
Sr: 0.0000 0.0000 0.0000
Sr: 0.0963 0.0000 0.5384
Ti: 0.1673 0.5000 0.8639
Ti: 0.2105 0.5000 0.2221
Ti: 0.2930 0.5000 0.5434
Ti: 0.3115 0.0000 0.0083
Ti: 0.3751 0.0000 0.3359
Ti: 0.4279 0.0000 0.6765
N: 0.3391 0.5000 0.3489
N: 0.4067 0.5000 0.6656
O: 0.0459 0.5000 0.7791
O: 0.1140 0.5000 0.0629
O: 0.1601 0.5000 0.3856
O: 0.1858 0.0000 0.8887
O: 0.2020 0.5000 0.6789
O: 0.2433 0.0000 0.1998
O: 0.2885 0.5000 0.0114
O: 0.2990 0.0000 0.5349
O: 0.3850 0.0000 0.8725
O: 0.4190 0.0000 0.1579
O: 0.4766 0.0000 0.4827


Starting from a structure optimized by DFT (GGA-PBE), the powder diffractogram of La5Al4Br4 was calculated for Cu Kα.

Principal peaks in the range 2θ from 5° to 70°, by angle:
Position (°2θ), I (rel.), hkl
17.43, 22, 0 0 4
24.29, 19, 2 1 1
27.32, 48, 2 1 3
30.39, 31, 2 2 0
32.60, 100, 2 1 5
34.04, 83, 3 1 0
35.32, 19, 0 0 8
43.51, 18, 3 1 6
49.85, 28, 3 1 8
50.44, 16, 4 1 5
64.45, 18, 5 2 5
64.64, 15, 2 1 13

Cell and atoms:
a = 8.3295 Å, b = 8.3295 Å, c = 20.3306 Å
α = 90.00°, β = 90.00°, γ = 90.00°
Space group I4/mcm (No. 140)
One atom of each set of equivalent atoms:
La: 0.0000 0.0000 0.2500
La: 0.1618 0.3382 0.1145
Al: 0.1426 0.3574 0.2798
Br: 0.0000 0.0000 0.0947
Br: 0.1440 0.3560 0.5000


Starting from a structure optimized by DFT (GGA-PBE), the powder diffractogram of HoSiPt2 was calculated for Cu Kα.

Principal peaks in the range 2θ from 5° to 70°, by angle:
Position (°2θ), I (rel.), hkl
31.98, 53, 2 1 1
32.76, 77, 1 2 1
34.66, 92, 1 0 2
35.56, 100, 2 2 0
37.06, 71, 1 1 2
39.22, 46, 2 2 1
40.33, 95, 3 0 1
42.23, 37, 0 3 1
43.58, 55, 1 2 2
44.08, 64, 1 3 1
52.58, 35, 0 4 0
64.84, 44, 3 3 2

Cell and atoms:
a = 7.3349 Å, b = 6.9626 Å, c = 5.5316 Å
α = 90.00°, β = 90.00°, γ = 90.00°
Space group Pnma (No. 62)
One atom of each set of equivalent atoms:
Ho: 0.0288 0.2500 0.1393
Si: 0.1202 0.7500 0.3607
Pt: 0.1813 0.0505 0.5920


Starting from a structure optimized by DFT (GGA-PBE), the powder diffractogram of Sc2Ga8Ni was calculated for Cu Kα.

Principal peaks in the range 2θ from 5° to 70°, by angle:
Position (°2θ), I (rel.), hkl
22.82, 7, 1 0 1
27.13, 9, 1 0 2
30.16, 5, 1 1 0
34.69, 25, 1 1 2
39.71, 100, 1 1 3
42.67, 14, 0 0 5
43.18, 54, 2 0 0
45.96, 10, 1 1 4
51.76, 7, 0 0 6
62.32, 17, 2 0 5
62.71, 17, 2 2 0
69.63, 6, 2 0 6

Cell and atoms:
a = 4.1905 Å, b = 4.1905 Å, c = 10.5954 Å
α = 90.00°, β = 90.00°, γ = 90.00°
Space group P4/mmm (No. 123)
One atom of each set of equivalent atoms:
Sc: 0.0000 0.0000 0.1881
Ga: 0.0000 0.5000 0.0000
Ga: 0.0000 0.5000 0.3746
Ga: 0.5000 0.5000 0.1956
Ni: 0.0000 0.0000 0.5000


Starting from a structure optimized by DFT (GGA-PBE), the powder diffractogram of NaMg14BO15 was calculated for Cu Kα.

Principal peaks in the range 2θ from 5° to 70°, by angle:
Position (°2θ), I (rel.), hkl
10.39, 16, 0 1 0
22.98, 3, 1 0 1
33.34, 4, 0 3 1
36.28, 38, 1 2 2
38.12, 4, 0 3 2
41.59, 100, 2 0 0
42.26, 89, 0 0 4
42.58, 76, 0 4 0
43.60, 3, 1 3 2
60.79, 52, 2 0 4
61.03, 45, 2 4 0
61.55, 41, 0 4 4

Cell and atoms:
a = 4.3428 Å, b = 8.4936 Å, c = 8.5535 Å
α = 90.00°, β = 90.00°, γ = 90.00°
Space group Pmm2 (No. 25)
One atom of each set of equivalent atoms:
Na: 0.0000 0.0000 0.0000
Mg: 0.0000 0.0000 0.5155
Mg: 0.0000 0.2431 0.2478
Mg: 0.0000 0.2696 0.7584
Mg: 0.0000 0.5000 0.0059
Mg: 0.5000 0.0000 0.2537
Mg: 0.5000 0.0000 0.7540
Mg: 0.5000 0.2469 0.0042
Mg: 0.5000 0.2667 0.5032
Mg: 0.5000 0.5000 0.2530
Mg: 0.5000 0.5000 0.7503
B: 0.0000 0.5000 0.4444
O: 0.0000 0.0000 0.2818
O: 0.0000 0.2626 0.0098
O: 0.0000 0.3314 0.4958
O: 0.0000 0.5000 0.2718
O: 0.0000 0.5000 0.7751
O: 0.5000 0.0000 0.0000
O: 0.5000 0.0000 0.5052
O: 0.5000 0.2484 0.2571
O: 0.5000 0.2527 0.7496
O: 0.5000 0.5000 0.0141
O: 0.5000 0.5000 0.4920


What did the seventh record say?
Starting from a structure optimized by DFT (GGA-PBE), the powder diffractogram of La5Al4Br4 was calculated for Cu Kα.

Principal peaks in the range 2θ from 5° to 70°, by angle:
Position (°2θ), I (rel.), hkl
17.43, 22, 0 0 4
24.29, 19, 2 1 1
27.32, 48, 2 1 3
30.39, 31, 2 2 0
32.60, 100, 2 1 5
34.04, 83, 3 1 0
35.32, 19, 0 0 8
43.51, 18, 3 1 6
49.85, 28, 3 1 8
50.44, 16, 4 1 5
64.45, 18, 5 2 5
64.64, 15, 2 1 13

Cell and atoms:
a = 8.3295 Å, b = 8.3295 Å, c = 20.3306 Å
α = 90.00°, β = 90.00°, γ = 90.00°
Space group I4/mcm (No. 140)
One atom of each set of equivalent atoms:
La: 0.0000 0.0000 0.2500
La: 0.1618 0.3382 0.1145
Al: 0.1426 0.3574 0.2798
Br: 0.0000 0.0000 0.0947
Br: 0.1440 0.3560 0.5000


What is the formula in the tenth record? NaMg14BO15